(1)
Calculated X-ray diffraction stick pattern
Compound: BaMnAg2F8
Radiation: copper Kα
Structure: a structure optimized by DFT (PBE+U)

The 10 most intense peaks (5 to 70 degrees two-theta), low angle first:
d = 5.455 Å, rel. 23, hkl 1 0 0; d = 4.329 Å, rel. 98, hkl 0 1 1; d = 3.150 Å, rel. 100, hkl 1 1 0; d = 2.980 Å, rel. 64, hkl 1 0 2; d = 2.880 Å, rel. 19, hkl 1 1 1; d = 2.175 Å, rel. 27, hkl 1 0 3; d = 2.165 Å, rel. 39, hkl 2 0 2; d = 1.980 Å, rel. 32, hkl 1 2 1; d = 1.784 Å, rel. 37, hkl 2 1 2; d = 1.549 Å, rel. 21, hkl 1 1 4

Structural model:
Cell lengths 6.2994, 6.2994, 7.1137 Å; angles 90.00, 90.00, 120.00 degrees
Space group P-3m1 (No. 164)
Asymmetric unit:
Ba: 0.0000 0.0000 0.0000 [1 per cell]
Mn: 0.0000 0.0000 0.5000 [1 per cell]
Ag: 0.3333 0.6667 0.2352 [2 per cell]
F: 0.1362 0.2725 0.3306 [6 per cell]
F: 0.3333 0.6667 0.9359 [2 per cell]

(2)
Calculated X-ray diffraction stick pattern
Compound: BaVAgF6
Radiation: copper Kα
Structure: a structure optimized by DFT (PBE+U)

The 10 most intense peaks (5 to 70 degrees two-theta), low angle first:
d = 3.502 Å, rel. 100, hkl 1 1 0; d = 2.913 Å, rel. 31, hkl 0 1 2; d = 2.906 Å, rel. 16, hkl 0 2 1; d = 2.434 Å, rel. 12, hkl 2 0 0; d = 2.240 Å, rel. 49, hkl 1 -2 0; d = 2.192 Å, rel. 12, hkl 2 0 -1; d = 1.869 Å, rel. 16, hkl 2 1 2; d = 1.777 Å, rel. 14, hkl 1 2 -1; d = 1.773 Å, rel. 11, hkl -1 2 3; d = 1.545 Å, rel. 11, hkl -3 1 1

Structural model:
Cell lengths 4.8685, 5.8130, 5.8187 Å; angles 60.22, 89.93, 89.86 degrees
Space group P1 (No. 1)
Asymmetric unit:
Ba: 0.0000 0.0000 0.0000 [1 per cell]
V: 0.3666 0.6674 0.6665 [1 per cell]
Ag: 0.5077 0.3335 0.3325 [1 per cell]
F: 0.1307 0.4541 0.9786 [1 per cell]
F: 0.1317 0.9816 0.5659 [1 per cell]
F: 0.1344 0.5684 0.4508 [1 per cell]
F: 0.5745 0.7560 0.9059 [1 per cell]
F: 0.5775 0.3404 0.7555 [1 per cell]
F: 0.5788 0.9052 0.3417 [1 per cell]